Record 1
Theoretical X-ray powder pattern of PrTlP2O6 for Cu Kα, from a cell relaxed with GGA-PBE.
Peak positions follow from Bragg's law for the DFT cell and can differ from measured ones.

Principal peaks in the range 2θ from 10° to 80°, in order of falling intensity:
| 2θ/deg | Rel. int. |
| --- | --- |
| 20.47 | 1000 |
| 28.40 | 801 |
| 18.43 | 646 |
| 22.90 | 411 |
| 25.78 | 308 |
| 39.42 | 307 |
| 41.62 | 283 |
| 30.64 | 270 |
| 34.67 | 210 |
| 38.80 | 193 |

Atomic structure:
Unit cell a=6.990 b=6.990 c=8.760 alpha=94.38 beta=94.38 gamma=111.77
Positions (direct):
Pr (0.154, 0.846, 0.750)
Pr (0.846, 0.154, 0.250)
Tl (0.423, 0.577, 0.250)
Tl (0.577, 0.423, 0.750)
P (0.021, 0.744, 0.309)
P (0.256, 0.979, 0.191)
P (0.744, 0.021, 0.809)
P (0.979, 0.256, 0.691)
O (0.022, 0.479, 0.763)
O (0.101, 0.776, 0.480)
O (0.169, 0.195, 0.724)
O (0.195, 0.169, 0.224)
O (0.224, 0.899, 0.020)
O (0.479, 0.022, 0.263)
O (0.521, 0.978, 0.737)
O (0.776, 0.101, 0.980)
O (0.805, 0.831, 0.776)
O (0.831, 0.805, 0.276)
O (0.899, 0.224, 0.520)
O (0.978, 0.521, 0.237)

Record 2
Theoretical X-ray powder pattern of Pr2Nd3Tm6 for Cu Kα, from a cell relaxed with GGA-PBE.
Peak positions follow from Bragg's law for the DFT cell and can differ from measured ones.

Principal peaks in the range 2θ from 10° to 80°, in order of falling intensity:
| 2θ/deg | Rel. int. |
| --- | --- |
| 28.58 | 1000 |
| 34.30 | 805 |
| 37.73 | 613 |
| 30.68 | 277 |
| 65.93 | 244 |
| 50.59 | 241 |
| 62.62 | 219 |
| 54.42 | 214 |
| 32.43 | 201 |
| 62.47 | 183 |

Atomic structure:
Unit cell a=16.904 b=16.904 c=16.904 alpha=163.78 beta=163.78 gamma=23.01
Positions (direct):
Pr (0.047, 0.047, 0.000)
Pr (0.953, 0.953, 0.000)
Nd (0.295, 0.295, 0.000)
Nd (0.500, 0.500, 0.000)
Nd (0.705, 0.705, 0.000)
Tm (0.121, 0.621, 0.500)
Tm (0.191, 0.191, 0.000)
Tm (0.379, 0.879, 0.500)
Tm (0.621, 0.121, 0.500)
Tm (0.809, 0.809, 0.000)
Tm (0.879, 0.379, 0.500)

Record 3
Theoretical X-ray powder pattern of Ba2Ag12Pd5 for Cu Kα, from a cell relaxed with GGA-PBE.
Peak positions follow from Bragg's law for the DFT cell and can differ from measured ones.

Principal peaks in the range 2θ from 10° to 80°, in order of falling intensity:
| 2θ/deg | Rel. int. |
| --- | --- |
| 37.25 | 1000 |
| 41.76 | 710 |
| 36.91 | 671 |
| 38.25 | 388 |
| 31.82 | 312 |
| 38.36 | 262 |
| 33.09 | 245 |
| 66.49 | 212 |
| 68.49 | 211 |
| 42.67 | 176 |

Atomic structure:
Unit cell a=7.334 b=7.334 c=7.334 alpha=83.24 beta=83.24 gamma=83.24
Positions (direct):
Ba (0.171, 0.171, 0.171)
Ba (0.829, 0.829, 0.829)
Ag (0.156, 0.156, 0.649)
Ag (0.156, 0.649, 0.156)
Ag (0.211, 0.500, 0.789)
Ag (0.211, 0.789, 0.500)
Ag (0.351, 0.844, 0.844)
Ag (0.500, 0.211, 0.789)
Ag (0.500, 0.789, 0.211)
Ag (0.649, 0.156, 0.156)
Ag (0.789, 0.211, 0.500)
Ag (0.789, 0.500, 0.211)
Ag (0.844, 0.351, 0.844)
Ag (0.844, 0.844, 0.351)
Pd (0.000, 0.500, 0.500)
Pd (0.402, 0.402, 0.402)
Pd (0.500, 0.000, 0.500)
Pd (0.500, 0.500, 0.000)
Pd (0.598, 0.598, 0.598)